No. 1
For Li2VF6, a crystal structure in the Materials Project, relaxed with PBE+U gives the simulated powder X-ray diffraction pattern in this record (copper Kα).
Neutral-atom scattering factors, no anomalous dispersion.

Atomic structure:
Unit cell a=5.8089 b=5.8089 c=4.8736 alpha=90.00 beta=90.00 gamma=120.00
Space group P-3m1 (No. 164)
Inequivalent atoms, fractional coordinates:
Li: 0.3333 0.6667 0.2120 x2
V: 0.0000 0.0000 0.5000 x1
F: 0.1545 0.3089 0.2780 x6

Largest 10 diffraction maxima, by intensity, 2θ from 10° to 90°:
index	two_theta	intensity
1 0 0	17.63	100
1 0 1	25.45	64
2 0 1	40.35	36
0 0 1	18.20	25
2 0 2	52.27	20
2 1 1	51.60	18
1 1 2	48.78	11
2 2 0	64.13	10
1 1 1	36.00	9
0 2 3	68.79	6

No. 2
For LiCr2P3O12, a crystal structure in the Materials Project, relaxed with PBE+U gives the simulated powder X-ray diffraction pattern in this record (copper Kα).
Neutral-atom scattering factors, no anomalous dispersion.

Atomic structure:
Unit cell a=8.2384 b=8.3167 c=8.8154 alpha=62.13 beta=62.45 gamma=60.59
Space group P-1 (No. 2)
Inequivalent atoms, fractional coordinates:
Li: 0.2440 0.0766 0.3640 x2
Cr: 0.1507 0.6434 0.5567 x2
Cr: 0.3567 0.8529 0.9307 x2
P: 0.0374 0.9679 0.7482 x2
P: 0.2491 0.4666 0.2517 x2
P: 0.4648 0.2490 0.7513 x2
O: 0.0116 0.8234 0.7020 x2
O: 0.0344 0.4904 0.2977 x2
O: 0.0398 0.1546 0.5822 x2
O: 0.1242 0.9955 0.0803 x2
O: 0.2413 0.8823 0.7721 x2
O: 0.2801 0.4918 0.3992 x2
O: 0.3081 0.6163 0.0710 x2
O: 0.3254 0.4586 0.7030 x2
O: 0.3303 0.7902 0.3962 x2
O: 0.3826 0.2596 0.2394 x2
O: 0.3923 0.0982 0.7733 x2
O: 0.4892 0.2015 0.9339 x2

Largest 10 diffraction maxima, by intensity, 2θ from 10° to 90°:
index	two_theta	intensity
1 0 1	14.71	100
1 0 -1	20.13	86
2 0 2	29.67	71
1 2 2	24.54	69
-1 1 1	24.45	68
2 1 2	24.72	67
1 2 -1	32.34	64
1 1 2	20.23	50
0 1 1	14.57	38
0 2 2	29.38	34